The following is a computed X-ray powder pattern of TlPdPb3. It was derived from a crystal structure in Alexandria, relaxed with GGA-PBE, using Cu Ka.

Main lines, in order of falling intensity (5 to 70 degrees two-theta):
2theta	I_rel
36.21	100
32.12	99
27.97	99
29.42	86
39.94	70
31.36	55
54.98	48
37.29	47
62.91	31
59.41	28

a = 8.2177 Å, b = 4.5151 Å, c = 8.5869 Å
α = 90.00°, β = 115.09°, γ = 90.00°
Atoms (fractional coordinates):
Tl: 0.1583 0.2500 0.2669
Tl: 0.8417 0.7500 0.7331
Pd: 0.4086 0.7500 0.8933
Pd: 0.5914 0.2500 0.1067
Pb: 0.1675 0.7500 0.5456
Pb: 0.1990 0.2500 0.9050
Pb: 0.4799 0.7500 0.2645
Pb: 0.5201 0.2500 0.7355
Pb: 0.8010 0.7500 0.0950
Pb: 0.8325 0.2500 0.4544



The following is a computed X-ray powder pattern of SrZn3Au9. It was derived from a crystal structure in Alexandria, relaxed with GGA-PBE, using Cu Ka.

Main lines, in order of falling intensity (5 to 70 degrees two-theta):
2theta	I_rel
38.03	100
37.55	80
37.30	68
43.13	52
42.66	51
32.92	49
41.47	44
33.54	38
41.99	36
39.00	34

a = 7.2895 Å, b = 7.2895 Å, c = 7.0008 Å
α = 96.96°, β = 96.96°, γ = 136.06°
Atoms (fractional coordinates):
Sr: 0.0000 0.0000 0.0000
Zn: 0.0000 0.5000 0.0000
Zn: 0.5000 0.0000 0.0000
Zn: 0.5000 0.5000 0.5000
Au: 0.0000 0.0000 0.5000
Au: 0.0394 0.6829 0.6651
Au: 0.3068 0.5278 0.7826
Au: 0.3171 0.9606 0.3349
Au: 0.4722 0.6932 0.2174
Au: 0.5278 0.3068 0.7826
Au: 0.6829 0.0394 0.6651
Au: 0.6932 0.4722 0.2174
Au: 0.9606 0.3171 0.3349



The following is a computed X-ray powder pattern of Pm2PrYHo. It was derived from a crystal structure in Alexandria, relaxed with GGA-PBE, using Cu Ka.

Main lines, in order of falling intensity (5 to 70 degrees two-theta):
2theta	I_rel
32.40	100
28.85	89
25.96	82
45.12	68
30.54	64
35.32	43
39.37	36
32.61	26
27.71	20
59.77	19

a = 7.2269 Å, b = 7.2269 Å, c = 7.2907 Å
α = 90.00°, β = 90.00°, γ = 108.21°
Atoms (fractional coordinates):
Pm: 0.1906 0.1906 0.0000
Pm: 0.1906 0.1906 0.5000
Pm: 0.8094 0.8094 0.0000
Pm: 0.8094 0.8094 0.5000
Pr: 0.2251 0.7749 0.7500
Pr: 0.7749 0.2251 0.2500
Y: 0.4923 0.5077 0.7500
Y: 0.5077 0.4923 0.2500
Ho: 0.2304 0.7696 0.2500
Ho: 0.7696 0.2304 0.7500



The following is a computed X-ray powder pattern of Cs2ErCdF6. It was derived from a crystal structure in Alexandria, relaxed with GGA-PBE, using Cu Ka.

Main lines, in order of falling intensity (5 to 70 degrees two-theta):
2theta	I_rel
26.50	100
46.77	42
37.82	33
54.56	21
61.65	20
68.30	7
16.13	4
18.65	2
32.60	1
49.80	1

a = 6.7241 Å, b = 9.5129 Å, c = 6.7337 Å
α = 90.00°, β = 90.00°, γ = 90.00°
Atoms (fractional coordinates):
Cs: 0.2500 0.0001 0.2488
Cs: 0.2500 0.4999 0.2488
Cs: 0.7500 0.9999 0.7512
Cs: 0.7500 0.5001 0.7512
Er: 0.2500 0.2500 0.7469
Er: 0.7500 0.7500 0.2531
Cd: 0.2500 0.7500 0.7504
Cd: 0.7500 0.2500 0.2496
F: 0.0220 0.2500 0.5193
F: 0.0221 0.2500 0.9741
F: 0.2500 0.0223 0.7460
F: 0.2500 0.4777 0.7460
F: 0.4780 0.2500 0.5193
F: 0.4779 0.2500 0.9741
F: 0.5221 0.7500 0.0259
F: 0.5220 0.7500 0.4807
F: 0.7500 0.5223 0.2540
F: 0.7500 0.9777 0.2540
F: 0.9779 0.7500 0.0259
F: 0.9780 0.7500 0.4807



The following is a computed X-ray powder pattern of Ba5Bi3Cl. It was derived from a crystal structure in Alexandria, relaxed with GGA-PBE, using Cu Ka.

Main lines, in order of falling intensity (5 to 70 degrees two-theta):
2theta	I_rel
25.90	100
29.25	57
33.45	32
27.90	29
52.29	22
53.60	17
26.11	17
41.71	15
10.36	13
42.34	13

a = 10.9324 Å, b = 10.9324 Å, c = 10.9324 Å
α = 127.60°, β = 127.60°, γ = 77.28°
Atoms (fractional coordinates):
Ba: 0.0000 0.0000 0.0000
Ba: 0.0320 0.5320 0.8331
Ba: 0.1990 0.0320 0.5000
Ba: 0.3010 0.8010 0.8331
Ba: 0.4680 0.3010 0.5000
Ba: 0.5000 0.5000 0.0000
Ba: 0.5320 0.6990 0.5000
Ba: 0.6990 0.1990 0.1669
Ba: 0.8010 0.9680 0.5000
Ba: 0.9680 0.4680 0.1669
Bi: 0.1437 0.3563 0.5000
Bi: 0.2500 0.2500 0.0000
Bi: 0.3563 0.8563 0.2126
Bi: 0.6437 0.1437 0.7874
Bi: 0.7500 0.7500 0.0000
Bi: 0.8563 0.6437 0.5000
Cl: 0.2500 0.7500 0.5000
Cl: 0.7500 0.2500 0.5000



The following is a computed X-ray powder pattern of AcNF2. It was derived from a crystal structure in Alexandria, relaxed with GGA-PBE, using Cu Ka.

Main lines, in order of falling intensity (5 to 70 degrees two-theta):
2theta	I_rel
17.04	100
14.82	96
27.66	82
23.41	77
26.07	58
27.01	50
29.63	49
34.17	40
28.90	38
14.03	35

a = 3.9707 Å, b = 6.3782 Å, c = 6.6259 Å
α = 107.37°, β = 90.45°, γ = 100.27°
Atoms (fractional coordinates):
Ac: 0.2000 0.3379 0.2015
Ac: 0.8000 0.6621 0.7985
N: 0.3560 0.9379 0.9773
N: 0.6440 0.0621 0.0227
F: 0.2258 0.4169 0.8500
F: 0.2971 0.6641 0.5428
F: 0.7029 0.3359 0.4572
F: 0.7742 0.5831 0.1500



The following is a computed X-ray powder pattern of FePb2C6N6. It was derived from a crystal structure in Alexandria, relaxed with GGA-PBE, using Cu Ka.

Main lines, in order of falling intensity (5 to 70 degrees two-theta):
2theta	I_rel
20.64	100
25.16	67
29.25	63
39.22	50
14.67	46
32.77	31
41.76	28
44.33	23
46.94	19
33.07	18

a = 7.0780 Å, b = 7.0780 Å, c = 6.0402 Å
α = 90.00°, β = 90.00°, γ = 120.00°
Atoms (fractional coordinates):
Fe: 0.0000 0.0000 0.0000
Pb: 0.3333 0.6667 0.5407
Pb: 0.6667 0.3333 0.4593
C: 0.0364 0.2322 0.1793
C: 0.1957 0.9636 0.1793
C: 0.2322 0.1957 0.8207
C: 0.7678 0.8043 0.1793
C: 0.8043 0.0364 0.8207
C: 0.9636 0.7678 0.8207
N: 0.0542 0.3772 0.2922
N: 0.3230 0.9458 0.2922
N: 0.3772 0.3230 0.7078
N: 0.6228 0.6770 0.2922
N: 0.6770 0.0542 0.7078
N: 0.9458 0.6228 0.7078



The following is a computed X-ray powder pattern of Al5Ga2Ag2. It was derived from a crystal structure in Alexandria, relaxed with GGA-PBE, using Cu Ka.

Main lines, in order of falling intensity (5 to 70 degrees two-theta):
2theta	I_rel
33.01	100
21.84	46
18.03	45
45.97	39
36.52	31
45.43	26
36.17	26
40.26	25
46.26	25
39.15	22

a = 8.2730 Å, b = 8.2730 Å, c = 8.2730 Å
α = 76.27°, β = 121.08°, γ = 136.15°
Atoms (fractional coordinates):
Al: 0.2106 0.0686 0.2792
Al: 0.2106 0.4314 0.6420
Al: 0.2401 0.7035 0.8261
Al: 0.2401 0.9139 0.0366
Al: 0.4938 0.4668 0.5270
Al: 0.7894 0.5686 0.3580
Al: 0.7894 0.9314 0.7208
Al: 0.8773 0.2035 0.9634
Al: 0.8773 0.4139 0.1739
Al: 0.9398 0.9668 0.4730
Ga: 0.6810 0.0986 0.3781
Ga: 0.6810 0.8029 0.0824
Ga: 0.7206 0.3029 0.6219
Ga: 0.7206 0.5986 0.9176
Ag: 0.3092 0.3092 0.0000
Ag: 0.3092 0.8092 0.5000
Ag: 0.3424 0.6278 0.2145
Ag: 0.4133 0.1278 0.7855



Repeat the second record exactly.
The following is a computed X-ray powder pattern of SrZn3Au9. It was derived from a crystal structure in Alexandria, relaxed with GGA-PBE, using Cu Ka.

Main lines, in order of falling intensity (5 to 70 degrees two-theta):
2theta	I_rel
38.03	100
37.55	80
37.30	68
43.13	52
42.66	51
32.92	49
41.47	44
33.54	38
41.99	36
39.00	34

a = 7.2895 Å, b = 7.2895 Å, c = 7.0008 Å
α = 96.96°, β = 96.96°, γ = 136.06°
Atoms (fractional coordinates):
Sr: 0.0000 0.0000 0.0000
Zn: 0.0000 0.5000 0.0000
Zn: 0.5000 0.0000 0.0000
Zn: 0.5000 0.5000 0.5000
Au: 0.0000 0.0000 0.5000
Au: 0.0394 0.6829 0.6651
Au: 0.3068 0.5278 0.7826
Au: 0.3171 0.9606 0.3349
Au: 0.4722 0.6932 0.2174
Au: 0.5278 0.3068 0.7826
Au: 0.6829 0.0394 0.6651
Au: 0.6932 0.4722 0.2174
Au: 0.9606 0.3171 0.3349